No. 1
For CsNb2Si, DFT lattice parameters and positions (PBE) gives the computed X-ray powder pattern in this record (copper Kα).
Neutral-atom scattering factors, no anomalous dispersion.

Peak list (6 most intense, 5° ≤ 2θ ≤ 70°, in order of falling intensity)
d = 3.852 Å, intensity 100; d = 3.260 Å, intensity 98; d = 2.186 Å, intensity 56; d = 2.964 Å, intensity 51; d = 2.175 Å, intensity 39; d = 2.312 Å, intensity 37

Crystal structure
```
CsNb2Si
1.0
-2.4617 2.4617 9.2785
2.4617 -2.4617 9.2785
2.4617 2.4617 -9.2785
Cs Nb Si
2 4 2
direct
0.0000 0.0000 0.0000
0.7500 0.2500 0.5000
0.2890 0.6250 0.1640
0.3750 0.5390 0.6640
0.4610 0.1250 0.8360
0.8750 0.7110 0.3360
0.2500 0.7500 0.5000
0.5000 0.5000 0.0000
```


No. 2
For Cs2NbTlTe4, DFT lattice parameters and positions (PBE) gives the computed X-ray powder pattern in this record (copper Kα).
Neutral-atom scattering factors, no anomalous dispersion.

Peak list (6 most intense, 5° ≤ 2θ ≤ 70°, in order of falling intensity)
d = 3.295 Å, intensity 100; d = 2.998 Å, intensity 70; d = 3.764 Å, intensity 64; d = 6.820 Å, intensity 59; d = 3.852 Å, intensity 52; d = 4.088 Å, intensity 51

Crystal structure
```
Cs2NbTlTe4
1.0
0.0000 7.2527 13.6392
3.9872 0.0000 13.6392
3.9872 7.2527 0.0000
Cs Nb Tl Te
4 2 2 8
direct
0.0565 0.0565 0.6935
0.3065 0.3065 0.9435
0.6935 0.6935 0.0565
0.9435 0.9435 0.3065
0.3750 0.3750 0.3750
0.6250 0.6250 0.6250
0.1250 0.1250 0.1250
0.8750 0.8750 0.8750
0.0200 0.6194 0.5275
0.3331 0.5275 0.6194
0.3806 0.9800 0.6669
0.4725 0.6669 0.9800
0.5275 0.3331 0.0200
0.6194 0.0200 0.3331
0.6669 0.4725 0.3806
0.9800 0.3806 0.4725
```


No. 3
For CsNdP4O12, DFT lattice parameters and positions (PBE) gives the computed X-ray powder pattern in this record (copper Kα).
Neutral-atom scattering factors, no anomalous dispersion.

Peak list (6 most intense, 5° ≤ 2θ ≤ 70°, in order of falling intensity)
d = 3.449 Å, intensity 100; d = 6.393 Å, intensity 88; d = 5.661 Å, intensity 88; d = 2.928 Å, intensity 76; d = 4.055 Å, intensity 74; d = 3.899 Å, intensity 72

Crystal structure
```
CsNdP4O12
1.0
7.2291 0.0000 0.0000
0.0000 9.3143 0.0000
-1.4873 0.0000 8.7893
Cs Nd P O
2 2 8 24
direct
0.1696 0.0000 0.1730
0.8304 0.5000 0.8270
0.3002 0.1647 0.6979
0.6998 0.6647 0.3021
0.1444 0.5374 0.5423
0.1912 0.5913 0.2260
0.4159 0.3897 0.0715
0.4391 0.7741 0.6239
0.5609 0.2741 0.3761
0.5841 0.8897 0.9285
0.8088 0.0913 0.7740
0.8556 0.0374 0.4577
0.0109 0.1351 0.8169
0.0435 0.1089 0.4926
0.1619 0.4015 0.6329
0.2233 0.4633 0.1103
0.2245 0.5060 0.3868
0.2870 0.6505 0.6372
0.3432 0.7019 0.2307
0.3483 0.9180 0.5941
0.3598 0.3166 0.9228
0.4253 0.9957 0.9076
0.4260 0.2196 0.4732
0.4522 0.2655 0.2004
0.5478 0.7655 0.7996
0.5740 0.7196 0.5268
0.5747 0.4957 0.0924
0.6402 0.8166 0.0772
0.6517 0.4180 0.4059
0.6568 0.2019 0.7693
0.7130 0.1505 0.3628
0.7755 0.0060 0.6132
0.7767 0.9633 0.8897
0.8381 0.9015 0.3671
0.9565 0.6089 0.5074
0.9891 0.6351 0.1831
```


No. 4
For Cs3NdP2O8, DFT lattice parameters and positions (PBE) gives the computed X-ray powder pattern in this record (copper Kα).
Neutral-atom scattering factors, no anomalous dispersion.

Peak list (6 most intense, 5° ≤ 2θ ≤ 70°, in order of falling intensity)
d = 3.333 Å, intensity 100; d = 2.965 Å, intensity 71; d = 2.215 Å, intensity 33; d = 1.775 Å, intensity 29; d = 1.762 Å, intensity 23; d = 4.430 Å, intensity 15

Crystal structure
```
Cs3NdP2O8
1.0
5.9291 0.0000 0.0000
-2.9645 5.1347 0.0000
0.0000 0.0000 8.7649
Cs Nd P O
3 1 2 8
direct
0.0000 0.0000 0.0000
0.3333 0.6667 0.7710
0.6667 0.3333 0.2290
0.0000 0.0000 0.5000
0.3333 0.6667 0.2847
0.6667 0.3333 0.7153
0.1896 0.3793 0.3455
0.1896 0.8104 0.3455
0.3333 0.6667 0.1092
0.3793 0.1896 0.6545
0.6207 0.8104 0.3455
0.6667 0.3333 0.8908
0.8104 0.1896 0.6545
0.8104 0.6207 0.6545
```